(1)
Diffraction record for CaIn2Rh. The powder diffractogram is simulated, not measured: it uses DFT lattice parameters and positions (GGA-PBE) and λ = 1.5418 Å (Cu Kα).
Intensities are scaled so that the largest is 100.

Principal peaks in the range 10 to 80 degrees two-theta, in order of rising 2θ:
| 2θ (°) | intensity |
| --- | --- |
| 16.46 | 38 |
| 19.08 | 85 |
| 31.64 | 55 |
| 35.19 | 73 |
| 35.42 | 40 |
| 37.02 | 60 |
| 39.10 | 62 |
| 39.30 | 39 |
| 40.47 | 100 |
| 40.77 | 68 |

Atomic structure:
```
data_CaIn2Rh
_chemical_formula_sum 'Ca8 In16 Rh8'
_symmetry_space_group_name_H-M 'P 1'
_symmetry_Int_Tables_number 1
_symmetry_space_group_name_Hall 'P 1'
_cell_length_a 16.096
_cell_length_b 7.951
_cell_length_c 5.714
_cell_angle_alpha 90.00
_cell_angle_beta 90.00
_cell_angle_gamma 90.00
loop_
_atom_site_label
_atom_site_fract_x
_atom_site_fract_y
_atom_site_fract_z
Ca1 0.103 0.250 0.247
Ca2 0.138 0.750 0.458
Ca3 0.362 0.250 0.958
Ca4 0.397 0.750 0.747
Ca5 0.603 0.250 0.253
Ca6 0.638 0.750 0.042
Ca7 0.862 0.250 0.542
Ca8 0.897 0.750 0.753
In1 0.039 0.055 0.752
In2 0.039 0.445 0.752
In3 0.212 0.550 0.958
In4 0.212 0.950 0.958
In5 0.288 0.050 0.458
In6 0.288 0.450 0.458
In7 0.461 0.555 0.252
In8 0.461 0.945 0.252
In9 0.539 0.055 0.748
In10 0.539 0.445 0.748
In11 0.712 0.550 0.542
In12 0.712 0.950 0.542
In13 0.788 0.050 0.042
In14 0.788 0.450 0.042
In15 0.961 0.555 0.248
In16 0.961 0.945 0.248
Rh1 0.072 0.750 0.981
Rh2 0.186 0.250 0.727
Rh3 0.314 0.750 0.227
Rh4 0.428 0.250 0.481
Rh5 0.572 0.750 0.519
Rh6 0.686 0.250 0.773
Rh7 0.814 0.750 0.273
Rh8 0.928 0.250 0.019
```

(2)
Diffraction record for CaIn2S4. The powder diffractogram is simulated, not measured: it uses DFT lattice parameters and positions (GGA-PBE) and λ = 1.5418 Å (Cu Kα).
Intensities are scaled so that the largest is 100.

Principal peaks in the range 10 to 80 degrees two-theta, in order of rising 2θ:
| 2θ (°) | intensity |
| --- | --- |
| 22.54 | 53 |
| 22.73 | 36 |
| 26.23 | 100 |
| 26.57 | 60 |
| 26.62 | 56 |
| 31.96 | 25 |
| 42.14 | 44 |
| 45.23 | 25 |
| 46.02 | 90 |
| 46.42 | 22 |

Atomic structure:
```
data_CaIn2S4
_chemical_formula_sum 'Ca2 In4 S8'
_symmetry_space_group_name_H-M 'P 1'
_symmetry_Int_Tables_number 1
_symmetry_space_group_name_Hall 'P 1'
_cell_length_a 7.891
_cell_length_b 7.891
_cell_length_c 7.891
_cell_angle_alpha 120.55
_cell_angle_beta 118.92
_cell_angle_gamma 90.46
loop_
_atom_site_label
_atom_site_fract_x
_atom_site_fract_y
_atom_site_fract_z
Ca1 0.500 0.000 0.000
Ca2 0.500 0.500 0.500
In1 0.000 0.000 0.000
In2 0.114 0.364 0.750
In3 0.500 0.000 0.500
In4 0.886 0.636 0.250
S1 0.245 0.238 0.006
S2 0.249 0.232 0.483
S3 0.249 0.766 0.017
S4 0.268 0.762 0.506
S5 0.732 0.238 0.494
S6 0.751 0.234 0.983
S7 0.751 0.768 0.517
S8 0.755 0.762 0.994
```

(3)
Diffraction record for Ca5In2Sb6. The powder diffractogram is simulated, not measured: it uses DFT lattice parameters and positions (GGA-PBE) and λ = 1.5418 Å (Cu Kα).
Intensities are scaled so that the largest is 100.

Principal peaks in the range 10 to 80 degrees two-theta, in order of rising 2θ:
| 2θ (°) | intensity |
| --- | --- |
| 23.52 | 49 |
| 24.00 | 79 |
| 29.85 | 63 |
| 30.55 | 100 |
| 34.76 | 55 |
| 38.18 | 32 |
| 39.00 | 53 |
| 42.36 | 35 |
| 43.09 | 52 |
| 43.68 | 59 |

Atomic structure:
```
data_Ca5In2Sb6
_chemical_formula_sum 'Ca10 In4 Sb12'
_symmetry_space_group_name_H-M 'P 1'
_symmetry_Int_Tables_number 1
_symmetry_space_group_name_Hall 'P 1'
_cell_length_a 12.243
_cell_length_b 14.434
_cell_length_c 4.619
_cell_angle_alpha 90.00
_cell_angle_beta 90.00
_cell_angle_gamma 90.00
loop_
_atom_site_label
_atom_site_fract_x
_atom_site_fract_y
_atom_site_fract_z
Ca1 0.000 0.000 0.000
Ca2 0.091 0.248 0.000
Ca3 0.178 0.515 0.000
Ca4 0.322 0.015 0.000
Ca5 0.409 0.748 0.000
Ca6 0.500 0.500 0.000
Ca7 0.591 0.252 0.000
Ca8 0.678 0.985 0.000
Ca9 0.822 0.485 0.000
Ca10 0.909 0.752 0.000
In1 0.163 0.713 0.500
In2 0.337 0.213 0.500
In3 0.663 0.787 0.500
In4 0.837 0.287 0.500
Sb1 0.037 0.404 0.500
Sb2 0.150 0.093 0.500
Sb3 0.162 0.830 0.000
Sb4 0.338 0.330 0.000
Sb5 0.350 0.593 0.500
Sb6 0.463 0.904 0.500
Sb7 0.537 0.096 0.500
Sb8 0.650 0.407 0.500
Sb9 0.662 0.670 0.000
Sb10 0.838 0.170 0.000
Sb11 0.850 0.907 0.500
Sb12 0.963 0.596 0.500
```